Computed powder diffraction line list of Rb2HgCl for Cu Kα, 1.54184 Å, from a crystal structure in Alexandria, relaxed with PBE.
Neutral-atom scattering factors, no anomalous dispersion.

Crystal structure
a = 4.6456 Å, b = 4.6456 Å, c = 28.1721 Å
α = 90.00°, β = 90.00°, γ = 120.00°
Space group R3m (No. 160, hexagonal axes)
One atom of each set of equivalent atoms:
Rb (0.0000, 0.0000, 0.0000) (multiplicity 3)
Rb (0.0000, 0.0000, 0.1919) (multiplicity 3)
Hg (0.0000, 0.0000, 0.4288) (multiplicity 3)
Cl (0.0000, 0.0000, 0.5959) (multiplicity 3)

Largest 8 diffraction maxima, in order of rising 2θ, 2θ = 15–90°:
(hkl)  d_spacing  Rel. int.
1 0 1  3.983  38
0 1 2  3.869  35
1 0 4  3.493  61
0 1 5  3.274  100
1 0 7  2.845  42
1 1 0  2.323  52
1 1 9  1.865  25
1 1 12  1.651  24


Computed powder diffraction line list of Rb2HgCl2 for Cu Kα, 1.54184 Å, from a crystal structure in Alexandria, relaxed with PBE.
Neutral-atom scattering factors, no anomalous dispersion.

Crystal structure
a = 9.335 Å, b = 9.335 Å, c = 4.112 Å
α = 90.00°, β = 90.00°, γ = 90.00°
Space group P4/mbm (No. 127)
One atom of each set of equivalent atoms:
Rb (0.144, 0.356, 0.000) (multiplicity 4)
Hg (0.000, 0.000, 0.000) (multiplicity 2)
Cl (0.153, 0.653, 0.500) (multiplicity 4)

Largest 8 diffraction maxima, in order of rising 2θ, 2θ = 15–90°:
(hkl)  d_spacing  Rel. int.
0 0 1  4.112  44
1 1 1  3.490  33
2 2 0  3.300  28
2 0 1  3.086  34
3 1 0  2.952  100
2 1 1  2.930  61
3 1 1  2.398  66
3 1 2  1.687  38


Computed powder diffraction line list of Rb6HgCl8 for Cu Kα, 1.54184 Å, from a crystal structure in Alexandria, relaxed with PBE.
Neutral-atom scattering factors, no anomalous dispersion.

Crystal structure
a = 9.6754 Å, b = 9.6754 Å, c = 19.2698 Å
α = 90.00°, β = 90.00°, γ = 120.00°
Space group R-3 (No. 148, hexagonal axes)
One atom of each set of equivalent atoms:
Rb (0.0207, 0.4013, 0.4200) (multiplicity 18)
Hg (0.0000, 0.0000, 0.5000) (multiplicity 3)
Cl (0.0000, 0.0000, 0.1566) (multiplicity 6)
Cl (0.0115, 0.2393, 0.5820) (multiplicity 18)

Largest 8 diffraction maxima, in order of rising 2θ, 2θ = 15–90°:
(hkl)  d_spacing  Rel. int.
0 2 1  4.094  38
1 1 3  3.864  100
3 -1 1  3.125  33
3 -2 2  3.009  41
3 0 0  2.793  64
1 1 6  2.676  90
3 -2 5  2.447  40
4 -2 3  2.263  39


Copy entry 3 word for word.
Computed powder diffraction line list of Rb6HgCl8 for Cu Kα, 1.54184 Å, from a crystal structure in Alexandria, relaxed with PBE.
Neutral-atom scattering factors, no anomalous dispersion.

Crystal structure
a = 9.6754 Å, b = 9.6754 Å, c = 19.2698 Å
α = 90.00°, β = 90.00°, γ = 120.00°
Space group R-3 (No. 148, hexagonal axes)
One atom of each set of equivalent atoms:
Rb (0.0207, 0.4013, 0.4200) (multiplicity 18)
Hg (0.0000, 0.0000, 0.5000) (multiplicity 3)
Cl (0.0000, 0.0000, 0.1566) (multiplicity 6)
Cl (0.0115, 0.2393, 0.5820) (multiplicity 18)

Largest 8 diffraction maxima, in order of rising 2θ, 2θ = 15–90°:
(hkl)  d_spacing  Rel. int.
0 2 1  4.094  38
1 1 3  3.864  100
3 -1 1  3.125  33
3 -2 2  3.009  41
3 0 0  2.793  64
1 1 6  2.676  90
3 -2 5  2.447  40
4 -2 3  2.263  39